No. 1
Starting from a DFT-relaxed cell (PBE, Alexandria), the PXRD pattern of SrLiAl2B2O7 was calculated for Cu Kα (weighted mean of Kα1 and Kα2).

Structure:
Lattice parameters (Å, degrees): 5.0007 5.0007 24.4349 90.00 90.00 120.00
Space group R3 (No. 146, hexagonal axes)
One atom of each set of equivalent atoms:
Sr 0.0000 0.0000 0.0000 [3 per cell]
Li 0.0000 0.0000 0.6577 [3 per cell]
Al 0.0000 0.0000 0.4192 [3 per cell]
Al 0.0000 0.0000 0.5567 [3 per cell]
B 0.0000 0.0000 0.2591 [3 per cell]
B 0.0000 0.0000 0.7434 [3 per cell]
O 0.0000 0.0000 0.4887 [3 per cell]
O 0.0210 0.4446 0.9282 [9 per cell]
O 0.1056 0.3615 0.3868 [9 per cell]

Largest 10 diffraction maxima, sorted by position, 2θ = 10–80°:
| d/Å | 2θ (°) | intensity | h k l |
| --- | --- | --- | --- |
| 8.145 | 10.9 | 100 | 0 0 3 |
| 4.081 | 21.8 | 51 | 0 1 2 |
| 3.533 | 25.2 | 58 | 1 0 4 |
| 3.241 | 27.5 | 28 | 0 1 5 |
| 2.718 | 33.0 | 45 | 1 0 7 |
| 2.499 | 35.9 | 50 | 1 1 0 |
| 2.131 | 42.4 | 47 | 2 0 2 |
| 1.839 | 49.6 | 27 | 2 -1 9 |
| 1.580 | 58.4 | 18 | 1 1 12 |
| 1.443 | 64.6 | 13 | 3 0 0 |

No. 2
Starting from a DFT-relaxed cell (PBE, Alexandria), the PXRD pattern of SrLiAl2B2O7 was calculated for Cu Kα (weighted mean of Kα1 and Kα2).

Structure:
Lattice parameters (Å, degrees): 4.888 4.923 8.594 87.23 74.23 60.33
Space group P1 (No. 1)
One atom of each set of equivalent atoms:
Sr 0.000 0.000 0.000 [1 per cell]
Li 0.244 0.977 0.578 [1 per cell]
Al 0.186 0.389 0.285 [1 per cell]
Al 0.852 0.590 0.682 [1 per cell]
B 0.451 0.284 0.772 [1 per cell]
B 0.561 0.716 0.202 [1 per cell]
O 0.092 0.372 0.493 [1 per cell]
O 0.136 0.542 0.796 [1 per cell]
O 0.335 0.016 0.176 [1 per cell]
O 0.492 0.982 0.751 [1 per cell]
O 0.510 0.467 0.189 [1 per cell]
O 0.709 0.322 0.780 [1 per cell]
O 0.869 0.659 0.201 [1 per cell]

Largest 10 diffraction maxima, sorted by position, 2θ = 10–80°:
| d/Å | 2θ (°) | intensity | h k l |
| --- | --- | --- | --- |
| 8.226 | 10.8 | 100 | 0 0 1 |
| 4.070 | 21.8 | 24 | 1 0 0 |
| 4.038 | 22.0 | 35 | 1 1 1 |
| 3.949 | 22.5 | 27 | 0 1 -1 |
| 3.630 | 24.5 | 27 | 0 1 1 |
| 3.457 | 25.8 | 34 | 1 1 -1 |
| 3.423 | 26.0 | 41 | 1 0 2 |
| 2.816 | 31.8 | 32 | 0 1 2 |
| 2.681 | 33.4 | 30 | 1 1 -2 |
| 2.459 | 36.5 | 33 | 1 -1 1 |